# 1
KCaEuSeO6: theoretical powder XRD pattern (copper Kα), based on a structure optimized by DFT (PBE).

Atomic structure:
a b c (Å): 5.7161 5.7161 5.7161
angles (deg): 60.00 60.00 60.00
Atoms (fractional coordinates):
K (0.0000, 0.0000, 0.0000)
Ca (0.7500, 0.7500, 0.7500)
Eu (0.5000, 0.5000, 0.5000)
Se (0.2500, 0.2500, 0.2500)
O (0.0266, 0.0266, 0.4734)
O (0.0266, 0.4734, 0.0266)
O (0.0266, 0.4734, 0.4734)
O (0.4734, 0.0266, 0.0266)
O (0.4734, 0.0266, 0.4734)
O (0.4734, 0.4734, 0.0266)

Largest 10 diffraction maxima, sorted by position, 2θ from 15° to 90°:
2θ (°)  I (rel.)
19.02  41.0
31.30  100.0
36.88  21.7
38.58  12.4
44.85  35.6
49.13  9.3
55.70  36.7
59.41  8.8
65.30  20.3
74.19  17.6

---

# 2
CaEuMg2: theoretical powder XRD pattern (copper Kα), based on a structure optimized by DFT (PBE).

Atomic structure:
a b c (Å): 5.8489 5.8489 5.8489
angles (deg): 60.00 60.00 60.00
Atoms (fractional coordinates):
Ca (0.0000, 0.0000, 0.0000)
Eu (0.5000, 0.5000, 0.5000)
Mg (0.2500, 0.2500, 0.2500)
Mg (0.7500, 0.7500, 0.7500)

Largest 10 diffraction maxima, sorted by position, 2θ from 15° to 90°:
2θ (°)  I (rel.)
18.58  41.9
21.49  39.8
30.57  100.0
36.01  25.9
37.67  12.8
43.78  18.3
49.27  17.5
54.33  38.0
72.24  15.9
88.45  18.9

---

# 3
CaEuMgSbO6: theoretical powder XRD pattern (copper Kα), based on a structure optimized by DFT (PBE).

Atomic structure:
a b c (Å): 5.6569 5.6569 5.6569
angles (deg): 60.00 60.00 60.00
Atoms (fractional coordinates):
Ca (0.0000, 0.0000, 0.0000)
Eu (0.5000, 0.5000, 0.5000)
Mg (0.2500, 0.2500, 0.2500)
Sb (0.7500, 0.7500, 0.7500)
O (0.5032, 0.5032, 0.9968)
O (0.5032, 0.9968, 0.5032)
O (0.5032, 0.9968, 0.9968)
O (0.9968, 0.5032, 0.5032)
O (0.9968, 0.5032, 0.9968)
O (0.9968, 0.9968, 0.5032)

Largest 10 diffraction maxima, sorted by position, 2θ from 15° to 90°:
2θ (°)  I (rel.)
19.22  50.1
31.63  100.0
37.28  28.7
45.34  36.0
49.67  12.5
56.34  39.0
60.10  9.9
66.07  21.3
69.51  9.7
75.10  16.9

---

# 4
NaCaEuSeO6: theoretical powder XRD pattern (copper Kα), based on a structure optimized by DFT (PBE).

Atomic structure:
a b c (Å): 5.6546 5.6546 5.6546
angles (deg): 60.00 60.00 60.00
Atoms (fractional coordinates):
Na (0.0000, 0.0000, 0.0000)
Ca (0.2500, 0.2500, 0.2500)
Eu (0.5000, 0.5000, 0.5000)
Se (0.7500, 0.7500, 0.7500)
O (0.5253, 0.5253, 0.9747)
O (0.5253, 0.9747, 0.5253)
O (0.5253, 0.9747, 0.9747)
O (0.9747, 0.5253, 0.5253)
O (0.9747, 0.5253, 0.9747)
O (0.9747, 0.9747, 0.5253)

Largest 10 diffraction maxima, sorted by position, 2θ from 15° to 90°:
2θ (°)  I (rel.)
19.22  59.4
31.65  100.0
37.29  31.2
39.02  11.5
45.36  37.2
49.70  13.2
56.36  37.3
60.12  11.8
66.10  21.2
75.14  17.8

---

# 5
CaTbEuNbO6: theoretical powder XRD pattern (copper Kα), based on a structure optimized by DFT (PBE).

Atomic structure:
a b c (Å): 5.9621 5.9621 5.9621
angles (deg): 60.00 60.00 60.00
Atoms (fractional coordinates):
Ca (0.0000, 0.0000, 0.0000)
Tb (0.7500, 0.7500, 0.7500)
Eu (0.5000, 0.5000, 0.5000)
Nb (0.2500, 0.2500, 0.2500)
O (0.0123, 0.0123, 0.4877)
O (0.0123, 0.4877, 0.0123)
O (0.0123, 0.4877, 0.4877)
O (0.4877, 0.0123, 0.0123)
O (0.4877, 0.0123, 0.4877)
O (0.4877, 0.4877, 0.0123)

Largest 10 diffraction maxima, sorted by position, 2θ from 15° to 90°:
2θ (°)  I (rel.)
18.22  18.1
21.07  6.5
29.97  100.0
35.30  12.3
42.90  31.7
53.22  40.1
62.29  19.4
70.66  17.6
78.61  6.3
86.35  21.1

---

# 6
CaEuTiNbO6: theoretical powder XRD pattern (copper Kα), based on a structure optimized by DFT (PBE).

Atomic structure:
a b c (Å): 5.6535 5.6535 5.6535
angles (deg): 60.00 60.00 60.00
Atoms (fractional coordinates):
Ca (0.0000, 0.0000, 0.0000)
Eu (0.5000, 0.5000, 0.5000)
Ti (0.7500, 0.7500, 0.7500)
Nb (0.2500, 0.2500, 0.2500)
O (0.5030, 0.5030, 0.9970)
O (0.5030, 0.9970, 0.5030)
O (0.5030, 0.9970, 0.9970)
O (0.9970, 0.5030, 0.5030)
O (0.9970, 0.5030, 0.9970)
O (0.9970, 0.9970, 0.5030)

Largest 10 diffraction maxima, sorted by position, 2θ from 15° to 90°:
2θ (°)  I (rel.)
19.23  33.1
31.65  100.0
37.30  20.3
39.03  9.0
45.37  35.9
49.71  9.3
56.38  38.2
60.14  7.0
66.11  20.9
75.15  16.3